1.
Structure and simulated powder X-ray diffraction pattern of Fe3O4 (a crystal structure in the Materials Project, relaxed with PBE+U; Cu Ka).
Intensities are scaled so that the largest is 100.

Peak list (10 most intense, 2θ from 15° to 90°, in order of rising 2θ)
| 2θ/deg | I (rel.) | h k l |
| --- | --- | --- |
| 29.56 | 37 | 1 1 2 |
| 34.57 | 66 | 2 1 -1 |
| 34.78 | 32 | 1 0 3 |
| 34.96 | 100 | 0 1 3 |
| 42.24 | 28 | 2 2 0 |
| 42.36 | 14 | 0 0 4 |
| 56.05 | 26 | 2 3 -1 |
| 60.55 | 16 | 4 0 0 |
| 61.36 | 60 | 2 2 4 |
| 61.99 | 15 | 0 4 0 |

Cell: 6.1168 5.9885 8.5349 Å, 90.00 90.10 90.00°
Space group P2/m (No. 10)
Symmetry-distinct sites (fractional):
Fe (0.0000, 0.0000, 0.0000) (multiplicity 1)
Fe (0.0000, 0.5000, 0.5000) (multiplicity 1)
Fe (0.2456, 0.0000, 0.3750) (multiplicity 2)
Fe (0.2460, 0.5000, 0.1264) (multiplicity 2)
Fe (0.2545, 0.2475, 0.7513) (multiplicity 4)
Fe (0.5000, 0.0000, 0.0000) (multiplicity 1)
Fe (0.5000, 0.5000, 0.5000) (multiplicity 1)
O (0.0094, 0.0000, 0.7614) (multiplicity 2)
O (0.0112, 0.5000, 0.7412) (multiplicity 2)
O (0.2376, 0.2620, 0.5074) (multiplicity 4)
O (0.2390, 0.2385, 0.9944) (multiplicity 4)
O (0.4909, 0.0000, 0.7450) (multiplicity 2)
O (0.4910, 0.5000, 0.7535) (multiplicity 2)

=====

2.
Structure and simulated powder X-ray diffraction pattern of Fe17O18 (a crystal structure in the Materials Project, relaxed with PBE+U; Cu Ka).
Intensities are scaled so that the largest is 100.

Peak list (10 most intense, 2θ from 15° to 90°, in order of rising 2θ)
| 2θ/deg | I (rel.) | h k l |
| --- | --- | --- |
| 35.47 | 100 | 1 0 -3 |
| 35.63 | 32 | 2 -2 2 |
| 40.74 | 73 | 1 1 2 |
| 41.11 | 71 | 0 3 -3 |
| 41.84 | 67 | -3 2 1 |
| 59.21 | 20 | 1 4 -1 |
| 59.32 | 20 | 1 -2 5 |
| 59.64 | 20 | -2 3 3 |
| 60.01 | 39 | 4 -1 1 |
| 60.19 | 19 | 3 -5 2 |

Cell: 6.8343 8.1817 8.2308 Å, 110.93 94.52 114.24°
Space group P-1 (No. 2)
Symmetry-distinct sites (fractional):
Fe (0.0000, 0.0000, 0.0000) (multiplicity 1)
Fe (0.0173, 0.3390, 0.3361) (multiplicity 2)
Fe (0.1709, 0.7259, 0.0553) (multiplicity 2)
Fe (0.1744, 0.3947, 0.7180) (multiplicity 2)
Fe (0.1753, 0.0626, 0.3937) (multiplicity 2)
Fe (0.3325, 0.1073, 0.7827) (multiplicity 2)
Fe (0.3328, 0.4465, 0.1165) (multiplicity 2)
Fe (0.3428, 0.7714, 0.4470) (multiplicity 2)
Fe (0.4979, 0.8240, 0.8267) (multiplicity 2)
O (0.0772, 0.8504, 0.5067) (multiplicity 2)
O (0.0776, 0.5383, 0.1941) (multiplicity 2)
O (0.1003, 0.2095, 0.8588) (multiplicity 2)
O (0.2262, 0.2242, 0.2353) (multiplicity 2)
O (0.2270, 0.5792, 0.5978) (multiplicity 2)
O (0.2548, 0.9111, 0.9190) (multiplicity 2)
O (0.4030, 0.6219, 0.9561) (multiplicity 2)
O (0.4123, 0.3061, 0.6528) (multiplicity 2)
O (0.4252, 0.9735, 0.3055) (multiplicity 2)

=====

3.
Structure and simulated powder X-ray diffraction pattern of Fe3O4 (a crystal structure in the Materials Project, relaxed with PBE+U; Cu Ka).
Intensities are scaled so that the largest is 100.

Peak list (10 most intense, 2θ from 15° to 90°, in order of rising 2θ)
| 2θ/deg | I (rel.) | h k l |
| --- | --- | --- |
| 17.87 | 13 | 0 1 -2 |
| 29.25 | 14 | 0 2 0 |
| 29.44 | 28 | 1 1 -4 |
| 34.49 | 100 | 1 -2 2 |
| 34.80 | 51 | 0 1 -6 |
| 41.84 | 21 | 2 2 0 |
| 55.30 | 28 | 2 -3 2 |
| 55.96 | 13 | 0 1 -10 |
| 60.66 | 23 | 4 0 0 |
| 61.10 | 34 | 2 2 8 |

Cell: 6.1060 6.1062 17.0605 Å, 90.00 90.11 90.02°
Space group P1 (No. 1)
Symmetry-distinct sites (fractional):
Fe (0.0000, 0.0000, 0.0000) (multiplicity 1)
Fe (0.9998, 0.0022, 0.5001) (multiplicity 1)
Fe (0.9996, 0.5060, 0.5007) (multiplicity 1)
Fe (0.0003, 0.7564, 0.1874) (multiplicity 1)
Fe (0.0008, 0.2609, 0.8137) (multiplicity 1)
Fe (0.0006, 0.5086, 0.0018) (multiplicity 1)
Fe (0.0006, 0.7516, 0.6882) (multiplicity 1)
Fe (0.0046, 0.2575, 0.3143) (multiplicity 1)
Fe (0.2504, 0.7575, 0.8765) (multiplicity 1)
Fe (0.2516, 0.2557, 0.6275) (multiplicity 1)
Fe (0.2548, 0.2548, 0.1286) (multiplicity 1)
Fe (0.2550, 0.7523, 0.3740) (multiplicity 1)
Fe (0.4964, 0.2511, 0.4408) (multiplicity 1)
Fe (0.4998, 0.7585, 0.5641) (multiplicity 1)
Fe (0.5010, 0.0062, 0.7540) (multiplicity 1)
Fe (0.5011, 0.2532, 0.9421) (multiplicity 1)
Fe (0.5011, 0.5113, 0.7557) (multiplicity 1)
Fe (0.5015, 0.7543, 0.0650) (multiplicity 1)
Fe (0.5029, 0.0061, 0.2531) (multiplicity 1)
Fe (0.5034, 0.5087, 0.2534) (multiplicity 1)
Fe (0.7451, 0.2550, 0.1300) (multiplicity 1)
Fe (0.7497, 0.2557, 0.6269) (multiplicity 1)
Fe (0.7510, 0.7568, 0.8761) (multiplicity 1)
Fe (0.7523, 0.7542, 0.3762) (multiplicity 1)
O (0.0001, 0.0081, 0.8792) (multiplicity 1)
O (0.0012, 0.0254, 0.6244) (multiplicity 1)
O (0.0009, 0.0255, 0.1228) (multiplicity 1)
O (0.0009, 0.4827, 0.6257) (multiplicity 1)
O (0.0012, 0.4854, 0.1232) (multiplicity 1)
O (0.0014, 0.5129, 0.8806) (multiplicity 1)
O (0.0086, 0.5203, 0.3785) (multiplicity 1)
O (0.0115, 0.9972, 0.3825) (multiplicity 1)
O (0.2192, 0.7549, 0.0015) (multiplicity 1)
O (0.2315, 0.2556, 0.0059) (multiplicity 1)
O (0.2381, 0.7651, 0.5003) (multiplicity 1)
O (0.2385, 0.2446, 0.5083) (multiplicity 1)
O (0.2501, 0.7577, 0.2561) (multiplicity 1)
O (0.2570, 0.2570, 0.2483) (multiplicity 1)
O (0.2620, 0.2661, 0.7465) (multiplicity 1)
O (0.2639, 0.7458, 0.7490) (multiplicity 1)
O (0.4891, 0.5158, 0.3800) (multiplicity 1)
O (0.4932, 0.9887, 0.3788) (multiplicity 1)
O (0.4999, 0.0357, 0.1281) (multiplicity 1)
O (0.5002, 0.4739, 0.1282) (multiplicity 1)
O (0.5006, 0.0265, 0.6274) (multiplicity 1)
O (0.5009, 0.4857, 0.6287) (multiplicity 1)
O (0.5012, 0.5029, 0.8732) (multiplicity 1)
O (0.5007, 0.9977, 0.8777) (multiplicity 1)
O (0.7389, 0.7455, 0.7493) (multiplicity 1)
O (0.7395, 0.2659, 0.7461) (multiplicity 1)
O (0.7449, 0.7560, 0.2503) (multiplicity 1)
O (0.7505, 0.2555, 0.2495) (multiplicity 1)
O (0.7610, 0.2444, 0.5065) (multiplicity 1)
O (0.7645, 0.7657, 0.5053) (multiplicity 1)
O (0.7699, 0.2553, 0.0064) (multiplicity 1)
O (0.7815, 0.7541, 0.0010) (multiplicity 1)

=====

4.
Structure and simulated powder X-ray diffraction pattern of Fe3O4 (a crystal structure in the Materials Project, relaxed with PBE+U; Cu Ka).
Intensities are scaled so that the largest is 100.

Peak list (10 most intense, 2θ from 15° to 90°, in order of rising 2θ)
| 2θ/deg | I (rel.) | h k l |
| --- | --- | --- |
| 32.55 | 100 | 0 1 3 |
| 33.03 | 29 | 1 1 -1 |
| 36.81 | 20 | 0 2 0 |
| 42.38 | 45 | 1 2 -1 |
| 45.31 | 32 | 1 2 2 |
| 45.42 | 10 | 1 2 -2 |
| 55.16 | 13 | 0 0 6 |
| 59.74 | 11 | 1 3 2 |
| 63.19 | 18 | 2 1 0 |
| 63.62 | 26 | 0 3 -3 |

Cell: 2.9427 5.0988 9.9903 Å, 89.89 89.77 73.28°
Space group P1 (No. 1)
Symmetry-distinct sites (fractional):
Fe (0.0000, 0.0000, 0.0000) (multiplicity 1)
Fe (0.0024, 0.9781, 0.6513) (multiplicity 1)
Fe (0.2606, 0.4732, 0.1494) (multiplicity 1)
Fe (0.2674, 0.4555, 0.5009) (multiplicity 1)
Fe (0.5133, 0.9631, 0.3159) (multiplicity 1)
Fe (0.7471, 0.4897, 0.8155) (multiplicity 1)
O (0.0902, 0.8050, 0.8303) (multiplicity 1)
O (0.1668, 0.6555, 0.3294) (multiplicity 1)
O (0.3606, 0.2814, 0.9616) (multiplicity 1)
O (0.3620, 0.2581, 0.6861) (multiplicity 1)
O (0.6246, 0.7462, 0.0858) (multiplicity 1)
O (0.6391, 0.7080, 0.5870) (multiplicity 1)
O (0.8967, 0.1997, 0.1899) (multiplicity 1)
O (0.9064, 0.1775, 0.4621) (multiplicity 1)

=====

5.
Structure and simulated powder X-ray diffraction pattern of Fe3O4 (a crystal structure in the Materials Project, relaxed with PBE+U; Cu Ka).
Intensities are scaled so that the largest is 100.

Peak list (10 most intense, 2θ from 15° to 90°, in order of rising 2θ)
| 2θ/deg | I (rel.) | h k l |
| --- | --- | --- |
| 29.38 | 24 | 0 1 2 |
| 29.53 | 23 | 2 -1 0 |
| 34.58 | 56 | 1 1 -3 |
| 34.73 | 100 | 1 -2 3 |
| 34.81 | 15 | 2 -1 2 |
| 42.11 | 24 | 0 2 -4 |
| 55.69 | 28 | 0 2 -6 |
| 55.84 | 14 | 3 -1 3 |
| 61.00 | 26 | 0 2 4 |
| 61.34 | 25 | 4 -2 0 |

Cell: 6.0422 6.0718 10.4938 Å, 106.75 90.12 119.63°
Space group P1 (No. 1)
Symmetry-distinct sites (fractional):
Fe (0.0000, 0.0000, 0.0000) (multiplicity 1)
Fe (0.0000, 0.0005, 0.5016) (multiplicity 1)
Fe (0.0031, 0.5058, 0.5040) (multiplicity 1)
Fe (0.0615, 0.6181, 0.1880) (multiplicity 1)
Fe (0.2508, 0.0004, 0.7488) (multiplicity 1)
Fe (0.4368, 0.3802, 0.3134) (multiplicity 1)
Fe (0.4981, 0.4959, 0.9987) (multiplicity 1)
Fe (0.4994, 0.0005, 0.0003) (multiplicity 1)
Fe (0.4986, 0.0000, 0.5015) (multiplicity 1)
Fe (0.5617, 0.6176, 0.6878) (multiplicity 1)
Fe (0.7483, 0.0010, 0.2540) (multiplicity 1)
Fe (0.9389, 0.3830, 0.8134) (multiplicity 1)
O (0.1055, 0.2470, 0.3724) (multiplicity 1)
O (0.1139, 0.7414, 0.3797) (multiplicity 1)
O (0.1260, 0.7707, 0.8840) (multiplicity 1)
O (0.1301, 0.2537, 0.8890) (multiplicity 1)
O (0.3586, 0.7362, 0.6193) (multiplicity 1)
O (0.3618, 0.2502, 0.1164) (multiplicity 1)
O (0.3695, 0.2378, 0.6249) (multiplicity 1)
O (0.3955, 0.7510, 0.1276) (multiplicity 1)
O (0.6210, 0.2636, 0.8841) (multiplicity 1)
O (0.6306, 0.7626, 0.3693) (multiplicity 1)
O (0.6373, 0.7506, 0.8870) (multiplicity 1)
O (0.6424, 0.2488, 0.3712) (multiplicity 1)
O (0.8663, 0.7598, 0.1231) (multiplicity 1)
O (0.8713, 0.2280, 0.1248) (multiplicity 1)
O (0.8789, 0.7380, 0.6184) (multiplicity 1)
O (0.8846, 0.2575, 0.6198) (multiplicity 1)

=====

6.
Structure and simulated powder X-ray diffraction pattern of Fe3O4 (a crystal structure in the Materials Project, relaxed with PBE+U; Cu Ka).
Intensities are scaled so that the largest is 100.

Peak list (10 most intense, 2θ from 15° to 90°, in order of rising 2θ)
| 2θ/deg | I (rel.) | h k l |
| --- | --- | --- |
| 29.49 | 27 | 1 1 -2 |
| 29.70 | 41 | 1 1 2 |
| 34.46 | 48 | 2 1 -1 |
| 34.62 | 53 | 2 1 1 |
| 34.90 | 100 | 1 2 1 |
| 34.98 | 72 | 0 1 3 |
| 42.15 | 42 | 2 2 0 |
| 56.21 | 30 | 1 0 5 |
| 61.19 | 45 | 2 2 -4 |
| 61.61 | 44 | 2 2 4 |

Cell: 6.1217 6.0071 8.5092 Å, 90.00 90.50 90.00°
Space group P2/m (No. 10)
Symmetry-distinct sites (fractional):
Fe (0.0000, 0.0000, 0.0000) (multiplicity 1)
Fe (0.0000, 0.5000, 0.5000) (multiplicity 1)
Fe (0.2420, 0.0000, 0.6239) (multiplicity 2)
Fe (0.2513, 0.2467, 0.2481) (multiplicity 4)
Fe (0.2555, 0.5000, 0.8717) (multiplicity 2)
Fe (0.5000, 0.0000, 0.0000) (multiplicity 1)
Fe (0.5000, 0.5000, 0.5000) (multiplicity 1)
O (0.0092, 0.5000, 0.2564) (multiplicity 2)
O (0.0098, 0.0000, 0.2437) (multiplicity 2)
O (0.2382, 0.2606, 0.4936) (multiplicity 4)
O (0.2615, 0.2415, 0.0079) (multiplicity 4)
O (0.4888, 0.5000, 0.2540) (multiplicity 2)
O (0.4975, 0.0000, 0.2415) (multiplicity 2)